Record 1
Starting from a crystal structure in Alexandria, relaxed with PBE, the X-ray diffraction stick pattern of CsIn2As2 was simulated for Cu Ka.
Peak positions follow from Bragg's law for the DFT cell and can differ from measured ones.

Crystal structure
Cell lengths 7.346, 7.528, 7.708 Å; angles 105.15, 107.25, 112.29 degrees
Sites, in units of the cell vectors:
1 Cs 0.149 0.244 0.400
2 Cs 0.851 0.756 0.600
3 In 0.229 0.476 0.981
4 In 0.475 0.977 0.729
5 In 0.525 0.023 0.271
6 In 0.771 0.524 0.019
7 As 0.195 0.712 0.309
8 As 0.418 0.227 0.033
9 As 0.582 0.773 0.967
10 As 0.805 0.288 0.691

Peak list (10 most intense, 5° ≤ 2θ ≤ 70°, by angle)
2θ/deg  I_rel
23.75  55
24.35  70
24.84  57
25.18  77
25.40  69
25.62  55
29.68  86
30.01  83
31.52  63
40.54  100

---

Record 2
Starting from a crystal structure in Alexandria, relaxed with PBE, the X-ray diffraction stick pattern of PuBeGaIr was simulated for Cu Ka.
Peak positions follow from Bragg's law for the DFT cell and can differ from measured ones.

Crystal structure
Cell lengths 4.055, 4.055, 15.153 Å; angles 90.00, 90.00, 120.00 degrees
Sites, in units of the cell vectors:
1 Pu 0.000 0.000 0.000
2 Pu 0.333 0.667 0.667
3 Pu 0.667 0.333 0.333
4 Be 0.000 0.000 0.463
5 Be 0.333 0.667 0.130
6 Be 0.667 0.333 0.796
7 Ga 0.000 0.000 0.200
8 Ga 0.333 0.667 0.867
9 Ga 0.667 0.333 0.534
10 Ir 0.000 0.000 0.787
11 Ir 0.333 0.667 0.454
12 Ir 0.667 0.333 0.120

Peak list (10 most intense, 5° ≤ 2θ ≤ 70°, by angle)
2θ/deg  I_rel
17.56  11
26.04  100
34.83  70
39.26  82
44.69  62
52.46  15
57.88  17
58.36  15
60.98  23
67.29  15

---

Record 3
Starting from a crystal structure in Alexandria, relaxed with PBE, the X-ray diffraction stick pattern of Tb2Y2ZnPd4 was simulated for Cu Ka.
Peak positions follow from Bragg's law for the DFT cell and can differ from measured ones.

Crystal structure
Cell lengths 6.458, 6.458, 6.458 Å; angles 115.88, 115.88, 97.29 degrees
Sites, in units of the cell vectors:
1 Tb 0.187 0.187 0.000
2 Tb 0.813 0.813 0.000
3 Y 0.250 0.750 0.500
4 Y 0.750 0.250 0.500
5 Zn 0.500 0.500 0.000
6 Pd 0.242 0.242 0.485
7 Pd 0.242 0.758 0.000
8 Pd 0.758 0.242 0.000
9 Pd 0.758 0.758 0.515

Peak list (10 most intense, 5° ≤ 2θ ≤ 70°, by angle)
2θ/deg  I_rel
18.30  16
33.53  100
34.12  19
37.09  65
42.36  10
43.39  25
51.28  9
53.46  22
57.55  16
64.60  29

---

Record 4
Starting from a crystal structure in Alexandria, relaxed with PBE, the X-ray diffraction stick pattern of Ce2Dy2Mg15 was simulated for Cu Ka.
Peak positions follow from Bragg's law for the DFT cell and can differ from measured ones.

Crystal structure
Cell lengths 7.921, 7.921, 7.921 Å; angles 83.72, 83.72, 83.72 degrees
Sites, in units of the cell vectors:
1 Ce 0.172 0.172 0.172
2 Ce 0.828 0.828 0.828
3 Dy 0.398 0.398 0.398
4 Dy 0.602 0.602 0.602
5 Mg 0.000 0.500 0.500
6 Mg 0.142 0.142 0.656
7 Mg 0.142 0.656 0.142
8 Mg 0.204 0.500 0.796
9 Mg 0.204 0.796 0.500
10 Mg 0.344 0.858 0.858
11 Mg 0.500 0.000 0.500
12 Mg 0.500 0.204 0.796
13 Mg 0.500 0.500 0.000
14 Mg 0.500 0.796 0.204
15 Mg 0.656 0.142 0.142
16 Mg 0.796 0.204 0.500
17 Mg 0.796 0.500 0.204
18 Mg 0.858 0.344 0.858
19 Mg 0.858 0.858 0.344

Peak list (10 most intense, 5° ≤ 2θ ≤ 70°, by angle)
2θ/deg  I_rel
11.29  23
16.77  100
29.26  57
30.64  26
31.10  23
33.92  53
34.34  25
35.13  24
35.54  35
39.54  28

---

Record 5
Starting from a crystal structure in Alexandria, relaxed with PBE, the X-ray diffraction stick pattern of LiSb12Pd4 was simulated for Cu Ka.
Peak positions follow from Bragg's law for the DFT cell and can differ from measured ones.

Crystal structure
Cell lengths 8.300, 8.300, 8.300 Å; angles 109.47, 109.47, 109.47 degrees
Sites, in units of the cell vectors:
1 Li 0.000 0.000 0.000
2 Sb 0.154 0.343 0.497
3 Sb 0.154 0.657 0.812
4 Sb 0.188 0.846 0.343
5 Sb 0.343 0.188 0.846
6 Sb 0.343 0.497 0.154
7 Sb 0.497 0.154 0.343
8 Sb 0.503 0.846 0.657
9 Sb 0.657 0.503 0.846
10 Sb 0.657 0.812 0.154
11 Sb 0.812 0.154 0.657
12 Sb 0.846 0.343 0.188
13 Sb 0.846 0.657 0.503
14 Pd 0.000 0.000 0.500
15 Pd 0.000 0.500 0.000
16 Pd 0.500 0.000 0.000
17 Pd 0.500 0.500 0.500

Peak list (10 most intense, 5° ≤ 2θ ≤ 70°, by angle)
2θ/deg  I_rel
13.06  11
18.51  12
29.47  100
35.03  31
42.17  41
44.33  10
46.41  27
48.43  30
55.94  15
66.12  16

---

Record 6
Starting from a crystal structure in Alexandria, relaxed with PBE, the X-ray diffraction stick pattern of Ca3Hg4Pd4 was simulated for Cu Ka.
Peak positions follow from Bragg's law for the DFT cell and can differ from measured ones.

Crystal structure
Cell lengths 8.754, 8.754, 8.754 Å; angles 151.97, 126.27, 61.69 degrees
Sites, in units of the cell vectors:
1 Ca 0.000 0.000 0.000
2 Ca 0.377 0.877 0.500
3 Ca 0.623 0.123 0.500
4 Hg 0.031 0.333 0.699
5 Hg 0.366 0.667 0.699
6 Hg 0.634 0.333 0.301
7 Hg 0.969 0.667 0.301
8 Pd 0.227 0.227 0.000
9 Pd 0.326 0.500 0.826
10 Pd 0.674 0.500 0.174
11 Pd 0.773 0.773 0.000

Peak list (10 most intense, 5° ≤ 2θ ≤ 70°, by angle)
2θ/deg  I_rel
11.77  67
20.99  37
21.78  66
31.50  79
33.83  55
35.85  100
38.58  53
42.10  55
42.68  86
43.42  39

---

Record 7
Starting from a crystal structure in Alexandria, relaxed with PBE, the X-ray diffraction stick pattern of Er6TlCd2 was simulated for Cu Ka.
Peak positions follow from Bragg's law for the DFT cell and can differ from measured ones.

Crystal structure
Cell lengths 8.737, 8.737, 8.737 Å; angles 111.16, 108.80, 108.47 degrees
Sites, in units of the cell vectors:
1 Er 0.048 0.226 0.822
2 Er 0.250 0.299 0.549
3 Er 0.250 0.701 0.952
4 Er 0.267 0.587 0.320
5 Er 0.267 0.947 0.680
6 Er 0.404 0.226 0.178
7 Er 0.596 0.774 0.822
8 Er 0.733 0.053 0.320
9 Er 0.733 0.413 0.680
10 Er 0.750 0.299 0.048
11 Er 0.750 0.701 0.451
12 Er 0.952 0.774 0.178
13 Tl 0.000 0.500 0.500
14 Tl 0.500 0.500 0.000
15 Cd 0.000 0.143 0.143
16 Cd 0.000 0.857 0.857
17 Cd 0.364 0.000 0.364
18 Cd 0.636 0.000 0.636

Peak list (10 most intense, 5° ≤ 2θ ≤ 70°, by angle)
2θ/deg  I_rel
30.71  100
32.98  45
33.58  94
35.15  45
35.30  16
50.67  11
53.67  11
55.98  21
60.33  11
65.85  12

---

Record 8
Starting from a crystal structure in Alexandria, relaxed with PBE, the X-ray diffraction stick pattern of TbReN3 was simulated for Cu Ka.
Peak positions follow from Bragg's law for the DFT cell and can differ from measured ones.

Crystal structure
Cell lengths 7.418, 7.418, 6.334 Å; angles 107.21, 107.21, 82.06 degrees
Sites, in units of the cell vectors:
1 Tb 0.094 0.906 0.750
2 Tb 0.291 0.709 0.250
3 Tb 0.709 0.291 0.750
4 Tb 0.906 0.094 0.250
5 Re 0.205 0.377 0.782
6 Re 0.377 0.205 0.282
7 Re 0.623 0.795 0.718
8 Re 0.795 0.623 0.218
9 N 0.006 0.221 0.662
10 N 0.132 0.626 0.843
11 N 0.221 0.006 0.162
12 N 0.333 0.360 0.081
13 N 0.360 0.333 0.581
14 N 0.374 0.868 0.657
15 N 0.626 0.132 0.343
16 N 0.640 0.667 0.419
17 N 0.667 0.640 0.919
18 N 0.779 0.994 0.838
19 N 0.868 0.374 0.157
20 N 0.994 0.779 0.338

Peak list (10 most intense, 5° ≤ 2θ ≤ 70°, by angle)
2θ/deg  I_rel
25.18  20
25.70  100
27.56  30
30.69  47
32.97  40
34.37  23
36.40  30
46.91  22
49.50  22
59.02  15

---

Record 9
Starting from a crystal structure in Alexandria, relaxed with PBE, the X-ray diffraction stick pattern of Sr3Ga4Ir2Pt2 was simulated for Cu Ka.
Peak positions follow from Bragg's law for the DFT cell and can differ from measured ones.

Crystal structure
Cell lengths 4.329, 4.329, 15.917 Å; angles 90.00, 90.00, 120.00 degrees
Sites, in units of the cell vectors:
1 Sr 0.000 0.000 0.000
2 Sr 0.000 0.000 0.285
3 Sr 0.000 0.000 0.715
4 Ga 0.333 0.667 0.431
5 Ga 0.333 0.667 0.856
6 Ga 0.667 0.333 0.144
7 Ga 0.667 0.333 0.569
8 Ir 0.333 0.667 0.589
9 Ir 0.667 0.333 0.411
10 Pt 0.333 0.667 0.136
11 Pt 0.667 0.333 0.864

Peak list (10 most intense, 5° ≤ 2θ ≤ 70°, by angle)
2θ/deg  I_rel
22.34  26
23.73  15
26.28  62
29.17  48
32.82  66
39.64  27
41.73  100
47.84  21
54.08  16
58.91  50

---

Record 10
Starting from a crystal structure in Alexandria, relaxed with PBE, the X-ray diffraction stick pattern of Pr2Ga3FeIr4 was simulated for Cu Ka.
Peak positions follow from Bragg's law for the DFT cell and can differ from measured ones.

Crystal structure
Cell lengths 4.254, 4.254, 10.379 Å; angles 90.00, 90.00, 90.00 degrees
Sites, in units of the cell vectors:
1 Pr 0.000 0.500 0.245
2 Pr 0.500 0.000 0.755
3 Ga 0.000 0.500 0.872
4 Ga 0.500 0.000 0.128
5 Ga 0.500 0.500 0.500
6 Fe 0.000 0.000 0.500
7 Ir 0.000 0.000 0.000
8 Ir 0.000 0.500 0.631
9 Ir 0.500 0.000 0.369
10 Ir 0.500 0.500 0.000

Peak list (10 most intense, 5° ≤ 2θ ≤ 70°, by angle)
2θ/deg  I_rel
27.10  16
30.95  29
33.38  61
34.46  100
42.50  71
46.20  39
48.82  27
55.09  29
61.67  24
66.69  21

---

Record 11
Starting from a crystal structure in Alexandria, relaxed with PBE, the X-ray diffraction stick pattern of PrBe17Rh was simulated for Cu Ka.
Peak positions follow from Bragg's law for the DFT cell and can differ from measured ones.

Crystal structure
Cell lengths 5.726, 5.726, 5.726 Å; angles 83.58, 83.58, 83.58 degrees
Sites, in units of the cell vectors:
1 Pr 0.000 0.000 0.000
2 Be 0.001 0.001 0.506
3 Be 0.001 0.506 0.001
4 Be 0.058 0.361 0.635
5 Be 0.058 0.635 0.361
6 Be 0.229 0.685 0.685
7 Be 0.256 0.256 0.256
8 Be 0.343 0.343 0.858
9 Be 0.343 0.858 0.343
10 Be 0.361 0.058 0.635
11 Be 0.361 0.635 0.058
12 Be 0.448 0.448 0.448
13 Be 0.506 0.001 0.001
14 Be 0.635 0.058 0.361
15 Be 0.635 0.361 0.058
16 Be 0.685 0.229 0.685
17 Be 0.685 0.685 0.229
18 Be 0.858 0.343 0.343
19 Rh 0.669 0.669 0.669

Peak list (10 most intense, 5° ≤ 2θ ≤ 70°, by angle)
2θ/deg  I_rel
15.65  59
21.05  35
23.31  100
24.34  31
33.96  93
36.91  20
40.97  33
47.67  26
48.23  47
55.75  23

---

Record 12
Starting from a crystal structure in Alexandria, relaxed with PBE, the X-ray diffraction stick pattern of K3Na4Tl was simulated for Cu Ka.
Peak positions follow from Bragg's law for the DFT cell and can differ from measured ones.

Crystal structure
Cell lengths 4.359, 4.359, 19.126 Å; angles 90.00, 90.00, 90.00 degrees
Sites, in units of the cell vectors:
1 K 0.000 0.000 0.000
2 K 0.000 0.000 0.283
3 K 0.000 0.000 0.717
4 Na 0.500 0.500 0.142
5 Na 0.500 0.500 0.417
6 Na 0.500 0.500 0.583
7 Na 0.500 0.500 0.858
8 Tl 0.000 0.000 0.500

Peak list (10 most intense, 5° ≤ 2θ ≤ 70°, by angle)
2θ/deg  I_rel
9.25  69
18.56  26
20.37  40
20.90  38
22.41  27
27.69  100
28.97  59
31.11  37
34.87  22
50.56  36